[1]
Calculated powder diffractogram of NaCrO2 for Cu Kα, 1.54184 Å, from a crystal structure in the Materials Project, relaxed with GGA+U.
No peak broadening, texture or thermal motion is included.

Largest 10 diffraction maxima, in order of rising 2θ, 10° ≤ 2θ ≤ 90°:
Position (°2θ), I/Imax
16.5, 54
33.3, 14
34.6, 10
35.9, 9
36.0, 18
41.0, 100
52.8, 9
57.5, 9
57.6, 18
61.1, 18

Structural model:
```
NaCrO2
1.0
5.4609 -1.5135 0.0000
5.4609 1.5135 0.0000
-0.8534 0.0000 5.1919
Na Cr O
2 2 4
direct
0.0000 0.5000 0.0000 Na
0.5000 0.0000 0.5000 Na
0.2464 0.7536 0.7500 Cr
0.7536 0.2464 0.2500 Cr
0.1528 0.6481 0.3839 O
0.3519 0.8472 0.1161 O
0.6481 0.1528 0.8839 O
0.8472 0.3519 0.6161 O
```


[2]
Calculated powder diffractogram of Na4CrO4 for Cu Kα, 1.54184 Å, from a crystal structure in the Materials Project, relaxed with GGA+U.
No peak broadening, texture or thermal motion is included.

Largest 10 diffraction maxima, in order of rising 2θ, 10° ≤ 2θ ≤ 90°:
Position (°2θ), I/Imax
17.5, 59
19.4, 38
22.9, 35
33.1, 57
33.4, 100
37.7, 86
38.2, 86
39.6, 83
55.0, 35
56.9, 39

Structural model:
```
Na4CrO4
1.0
5.7620 0.0000 0.0000
2.1241 5.3642 0.0000
2.7945 0.2933 8.2763
Na Cr O
8 2 8
direct
0.0208 0.2648 0.4328 Na
0.1074 0.7317 0.1825 Na
0.2587 0.2460 0.0120 Na
0.4464 0.2434 0.6006 Na
0.5536 0.7566 0.3994 Na
0.7413 0.7540 0.9880 Na
0.8926 0.2683 0.8175 Na
0.9792 0.7352 0.5672 Na
0.3438 0.7209 0.7577 Cr
0.6562 0.2791 0.2423 Cr
0.1377 0.5291 0.8038 O
0.2045 0.9728 0.6241 O
0.3363 0.4717 0.3614 O
0.3504 0.8457 0.9313 O
0.6496 0.1543 0.0687 O
0.6637 0.5283 0.6386 O
0.7955 0.0272 0.3759 O
0.8623 0.4709 0.1962 O
```


> What is the formula in the first record?

NaCrO2


Copy entry 2 word for word.
Calculated powder diffractogram of Na4CrO4 for Cu Kα, 1.54184 Å, from a crystal structure in the Materials Project, relaxed with GGA+U.
No peak broadening, texture or thermal motion is included.

Largest 10 diffraction maxima, in order of rising 2θ, 10° ≤ 2θ ≤ 90°:
Position (°2θ), I/Imax
17.5, 59
19.4, 38
22.9, 35
33.1, 57
33.4, 100
37.7, 86
38.2, 86
39.6, 83
55.0, 35
56.9, 39

Structural model:
```
Na4CrO4
1.0
5.7620 0.0000 0.0000
2.1241 5.3642 0.0000
2.7945 0.2933 8.2763
Na Cr O
8 2 8
direct
0.0208 0.2648 0.4328 Na
0.1074 0.7317 0.1825 Na
0.2587 0.2460 0.0120 Na
0.4464 0.2434 0.6006 Na
0.5536 0.7566 0.3994 Na
0.7413 0.7540 0.9880 Na
0.8926 0.2683 0.8175 Na
0.9792 0.7352 0.5672 Na
0.3438 0.7209 0.7577 Cr
0.6562 0.2791 0.2423 Cr
0.1377 0.5291 0.8038 O
0.2045 0.9728 0.6241 O
0.3363 0.4717 0.3614 O
0.3504 0.8457 0.9313 O
0.6496 0.1543 0.0687 O
0.6637 0.5283 0.6386 O
0.7955 0.0272 0.3759 O
0.8623 0.4709 0.1962 O
```